Computed XRD peak list
Compound: Tl3HPt
Radiation: Cu Kα (weighted mean of Kα1 and Kα2)
Structure: a DFT-relaxed cell (PBE, Alexandria)
Intensities are scaled so that the largest is 1000.

Structure:
a b c (Å): 4.743 4.743 4.743
angles (deg): 90.00 90.00 90.00
Fractional positions:
Tl (0.000, 0.000, 0.500)
Tl (0.000, 0.500, 0.000)
Tl (0.500, 0.000, 0.000)
H (0.000, 0.000, 0.000)
Pt (0.500, 0.500, 0.500)

Main lines, sorted by position (2θ = 5–70°):
| d (Å) | Rel. int. | (hkl) |
| --- | --- | --- |
| 2.739 | 1000 | 1 1 1 |
| 2.372 | 509 | 2 0 0 |
| 1.677 | 359 | 2 2 0 |
| 1.430 | 424 | 3 1 1 |
| 1.369 | 123 | 2 2 2 |

=====

Computed XRD peak list
Compound: V3H3Pt
Radiation: Cu Kα (weighted mean of Kα1 and Kα2)
Structure: a DFT-relaxed cell (PBE, Alexandria)
Intensities are scaled so that the largest is 1000.

Structure:
a b c (Å): 5.016 5.016 5.016
angles (deg): 90.00 90.00 90.00
Fractional positions:
V (0.000, 0.250, 0.500)
V (0.000, 0.750, 0.500)
V (0.250, 0.500, 0.000)
V (0.500, 0.000, 0.250)
V (0.500, 0.000, 0.750)
V (0.750, 0.500, 0.000)
H (0.000, 0.500, 0.250)
H (0.000, 0.500, 0.750)
H (0.250, 0.000, 0.500)
H (0.500, 0.250, 0.000)
H (0.500, 0.750, 0.000)
H (0.750, 0.000, 0.500)
Pt (0.000, 0.000, 0.000)
Pt (0.500, 0.500, 0.500)

Main lines, sorted by position (2θ = 5–70°):
| d (Å) | Rel. int. | (hkl) |
| --- | --- | --- |
| 3.547 | 722 | 1 1 0 |
| 2.508 | 454 | 2 0 0 |
| 2.243 | 208 | 2 1 0 |
| 2.048 | 1000 | 2 1 1 |
| 1.773 | 113 | 2 2 0 |
| 1.586 | 161 | 3 1 0 |